Starting from a DFT-relaxed cell (GGA-PBE, the Materials Project), the powder XRD pattern of Nd3Cd was simulated for CuKα.

```
data_Nd3Cd
_cell_length_a 6.1716
_cell_length_b 6.1716
_cell_length_c 6.1716
_cell_angle_alpha 132.67
_cell_angle_beta 132.67
_cell_angle_gamma 69.17
_space_group_name_H-M_alt 'P 1'
_space_group_IT_number 1
loop_
_space_group_symop_operation_xyz
'x,y,z'
loop_
_atom_site_label
_atom_site_type_symbol
_atom_site_fract_x
_atom_site_fract_y
_atom_site_fract_z
Nd1 Nd 0.0000 0.0000 0.0000
Nd2 Nd 0.2500 0.7500 0.5000
Nd3 Nd 0.7500 0.2500 0.5000
Cd1 Cd 0.5000 0.5000 0.0000
```

The 10 most intense peaks (2θ = 10–90°), in order of falling intensity:
31.01°, rel. 100; 36.27°, rel. 33; 61.99°, rel. 27; 51.53°, rel. 24; 35.33°, rel. 18; 60.74°, rel. 14; 64.63°, rel. 12; 84.18°, rel. 12; 52.23°, rel. 11; 85.28°, rel. 6

***

Starting from a DFT-relaxed cell (GGA-PBE, the Materials Project), the powder XRD pattern of NdCd11 was simulated for CuKα.

```
data_NdCd11
_cell_length_a 9.4563
_cell_length_b 9.4563
_cell_length_c 9.4563
_cell_angle_alpha 90.00
_cell_angle_beta 90.00
_cell_angle_gamma 90.00
_space_group_name_H-M_alt 'P 1'
_space_group_IT_number 1
loop_
_space_group_symop_operation_xyz
'x,y,z'
loop_
_atom_site_label
_atom_site_type_symbol
_atom_site_fract_x
_atom_site_fract_y
_atom_site_fract_z
Nd1 Nd 0.0000 0.0000 0.5000
Nd2 Nd 0.0000 0.5000 0.0000
Nd3 Nd 0.5000 0.0000 0.0000
Cd1 Cd 0.0000 0.3457 0.3457
Cd2 Cd 0.0000 0.3457 0.6543
Cd3 Cd 0.0000 0.6543 0.3457
Cd4 Cd 0.0000 0.6543 0.6543
Cd5 Cd 0.1553 0.1553 0.1553
Cd6 Cd 0.1553 0.1553 0.8447
Cd7 Cd 0.1553 0.8447 0.1553
Cd8 Cd 0.1553 0.8447 0.8447
Cd9 Cd 0.2647 0.2647 0.5000
Cd10 Cd 0.2647 0.5000 0.2647
Cd11 Cd 0.2647 0.5000 0.7353
Cd12 Cd 0.2647 0.7353 0.5000
Cd13 Cd 0.3457 0.0000 0.3457
Cd14 Cd 0.3457 0.0000 0.6543
Cd15 Cd 0.3457 0.3457 0.0000
Cd16 Cd 0.3457 0.6543 0.0000
Cd17 Cd 0.5000 0.2647 0.2647
Cd18 Cd 0.5000 0.2647 0.7353
Cd19 Cd 0.5000 0.5000 0.5000
Cd20 Cd 0.5000 0.7353 0.2647
Cd21 Cd 0.5000 0.7353 0.7353
Cd22 Cd 0.6543 0.0000 0.3457
Cd23 Cd 0.6543 0.0000 0.6543
Cd24 Cd 0.6543 0.3457 0.0000
Cd25 Cd 0.6543 0.6543 0.0000
Cd26 Cd 0.7353 0.2647 0.5000
Cd27 Cd 0.7353 0.5000 0.2647
Cd28 Cd 0.7353 0.5000 0.7353
Cd29 Cd 0.7353 0.7353 0.5000
Cd30 Cd 0.8447 0.1553 0.1553
Cd31 Cd 0.8447 0.1553 0.8447
Cd32 Cd 0.8447 0.8447 0.1553
Cd33 Cd 0.8447 0.8447 0.8447
```

The 10 most intense peaks (2θ = 10–90°), in order of falling intensity:
39.28°, rel. 100; 31.37°, rel. 95; 32.81°, rel. 83; 40.47°, rel. 70; 43.87°, rel. 54; 34.19°, rel. 48; 29.88°, rel. 38; 62.93°, rel. 32; 73.61°, rel. 30; 54.93°, rel. 23

***

Starting from a DFT-relaxed cell (GGA-PBE, the Materials Project), the powder XRD pattern of Nd3Cd was simulated for CuKα.

```
data_Nd3Cd
_cell_length_a 7.1621
_cell_length_b 7.1621
_cell_length_c 5.6171
_cell_angle_alpha 90.00
_cell_angle_beta 90.00
_cell_angle_gamma 120.00
_space_group_name_H-M_alt 'P 1'
_space_group_IT_number 1
loop_
_space_group_symop_operation_xyz
'x,y,z'
loop_
_atom_site_label
_atom_site_type_symbol
_atom_site_fract_x
_atom_site_fract_y
_atom_site_fract_z
Nd1 Nd 0.1741 0.3482 0.2500
Nd2 Nd 0.1741 0.8259 0.2500
Nd3 Nd 0.3482 0.1741 0.7500
Nd4 Nd 0.6518 0.8259 0.2500
Nd5 Nd 0.8259 0.1741 0.7500
Nd6 Nd 0.8259 0.6518 0.7500
Cd1 Cd 0.3333 0.6667 0.7500
Cd2 Cd 0.6667 0.3333 0.2500
```

The 10 most intense peaks (2θ = 10–90°), in order of falling intensity:
32.99°, rel. 100; 31.86°, rel. 25; 28.79°, rel. 24; 61.41°, rel. 21; 57.50°, rel. 20; 51.01°, rel. 19; 43.47°, rel. 16; 62.10°, rel. 15; 84.42°, rel. 12; 88.48°, rel. 8

***

Starting from a DFT-relaxed cell (GGA-PBE, the Materials Project), the powder XRD pattern of NdCd20Ni2 was simulated for CuKα.

```
data_NdCd20Ni2
_cell_length_a 11.1772
_cell_length_b 11.1772
_cell_length_c 11.1772
_cell_angle_alpha 60.00
_cell_angle_beta 60.00
_cell_angle_gamma 60.00
_space_group_name_H-M_alt 'P 1'
_space_group_IT_number 1
loop_
_space_group_symop_operation_xyz
'x,y,z'
loop_
_atom_site_label
_atom_site_type_symbol
_atom_site_fract_x
_atom_site_fract_y
_atom_site_fract_z
Nd1 Nd 0.1250 0.1250 0.1250
Nd2 Nd 0.8750 0.8750 0.8750
Cd1 Cd 0.0000 0.0000 0.0000
Cd2 Cd 0.0000 0.0000 0.5000
Cd3 Cd 0.0000 0.5000 0.0000
Cd4 Cd 0.0562 0.3243 0.3243
Cd5 Cd 0.0562 0.3243 0.7953
Cd6 Cd 0.0562 0.7953 0.3243
Cd7 Cd 0.2047 0.6757 0.6757
Cd8 Cd 0.2047 0.6757 0.9438
Cd9 Cd 0.2047 0.9438 0.6757
Cd10 Cd 0.2379 0.2379 0.5121
Cd11 Cd 0.2379 0.5121 0.2379
Cd12 Cd 0.2379 0.5121 0.5121
Cd13 Cd 0.3243 0.0562 0.3243
Cd14 Cd 0.3243 0.0562 0.7953
Cd15 Cd 0.3243 0.3243 0.0562
Cd16 Cd 0.3243 0.3243 0.7953
Cd17 Cd 0.3243 0.7953 0.0562
Cd18 Cd 0.3243 0.7953 0.3243
Cd19 Cd 0.4879 0.4879 0.7621
Cd20 Cd 0.4879 0.7621 0.4879
Cd21 Cd 0.4879 0.7621 0.7621
Cd22 Cd 0.5000 0.0000 0.0000
Cd23 Cd 0.5121 0.2379 0.2379
Cd24 Cd 0.5121 0.2379 0.5121
Cd25 Cd 0.5121 0.5121 0.2379
Cd26 Cd 0.6757 0.2047 0.6757
Cd27 Cd 0.6757 0.2047 0.9438
Cd28 Cd 0.6757 0.6757 0.2047
Cd29 Cd 0.6757 0.6757 0.9438
Cd30 Cd 0.6757 0.9438 0.2047
Cd31 Cd 0.6757 0.9438 0.6757
Cd32 Cd 0.7621 0.4879 0.4879
Cd33 Cd 0.7621 0.4879 0.7621
Cd34 Cd 0.7621 0.7621 0.4879
Cd35 Cd 0.7953 0.0562 0.3243
Cd36 Cd 0.7953 0.3243 0.0562
Cd37 Cd 0.7953 0.3243 0.3243
Cd38 Cd 0.9438 0.2047 0.6757
Cd39 Cd 0.9438 0.6757 0.2047
Cd40 Cd 0.9438 0.6757 0.6757
Ni1 Ni 0.0000 0.5000 0.5000
Ni2 Ni 0.5000 0.0000 0.5000
Ni3 Ni 0.5000 0.5000 0.0000
Ni4 Ni 0.5000 0.5000 0.5000
```

The 10 most intense peaks (2θ = 10–90°), in order of falling intensity:
33.54°, rel. 100; 37.30°, rel. 64; 37.75°, rel. 64; 66.98°, rel. 42; 35.93°, rel. 36; 40.77°, rel. 26; 48.89°, rel. 22; 39.50°, rel. 20; 58.06°, rel. 19; 70.20°, rel. 18